Structure and calculated powder X-ray diffraction pattern of InSi23 (DFT lattice parameters and positions (GGA-PBE); a wavelength of 1.5418 Å).
No peak broadening, texture or thermal motion is included.

Most intense lines, 15° ≤ 2θ ≤ 90°, sorted by position:
Position (°2θ)  d (Å)  I/Imax
19.4  4.580  35
24.6  3.621  10
32.7  2.737  100
36.2  2.484  12
37.2  2.414  26
40.4  2.235  11
45.1  2.009  10
52.9  1.731  10
53.7  1.707  19
55.3  1.661  42

Atomic structure:
```
data_InSi23
_chemical_formula_sum 'In2 Si46'
_symmetry_space_group_name_H-M 'P m -3 n'
_symmetry_Int_Tables_number 223
_symmetry_space_group_name_Hall '-P 4n 2 3'
_cell_length_a 10.242
_cell_length_b 10.242
_cell_length_c 10.242
_cell_angle_alpha 90.00
_cell_angle_beta 90.00
_cell_angle_gamma 90.00
loop_
_atom_site_label
_atom_site_type_symbol
_atom_site_fract_x
_atom_site_fract_y
_atom_site_fract_z
In1 In 0.000 0.000 0.000
Si1 Si 0.000 0.117 0.308
Si2 Si 0.000 0.250 0.500
Si3 Si 0.183 0.183 0.183
```



Structure and calculated powder X-ray diffraction pattern of In3Si23 (DFT lattice parameters and positions (GGA-PBE); a wavelength of 1.5418 Å).
No peak broadening, texture or thermal motion is included.

Most intense lines, 15° ≤ 2θ ≤ 90°, sorted by position:
Position (°2θ)  d (Å)  I/Imax
19.4  4.569  45
27.6  3.231  26
30.3  2.949  93
31.6  2.833  96
32.8  2.730  100
35.1  2.554  31
48.0  1.897  25
52.2  1.752  60
55.4  1.657  42
60.8  1.523  20

Atomic structure:
```
data_In3Si23
_chemical_formula_sum 'In6 Si46'
_symmetry_space_group_name_H-M 'P m -3 n'
_symmetry_Int_Tables_number 223
_symmetry_space_group_name_Hall '-P 4n 2 3'
_cell_length_a 10.216
_cell_length_b 10.216
_cell_length_c 10.216
_cell_angle_alpha 90.00
_cell_angle_beta 90.00
_cell_angle_gamma 90.00
loop_
_atom_site_label
_atom_site_type_symbol
_atom_site_fract_x
_atom_site_fract_y
_atom_site_fract_z
In1 In 0.000 0.250 0.500
Si1 Si 0.000 0.307 0.117
Si2 Si 0.000 0.500 0.250
Si3 Si 0.184 0.184 0.184
```



Structure and calculated powder X-ray diffraction pattern of In3Si2 (DFT lattice parameters and positions (GGA-PBE); a wavelength of 1.5418 Å).
No peak broadening, texture or thermal motion is included.

Most intense lines, 15° ≤ 2θ ≤ 90°, sorted by position:
Position (°2θ)  d (Å)  I/Imax
15.7  5.628  27
20.9  4.251  16
31.0  2.889  58
31.8  2.814  100
34.8  2.575  54
34.9  2.569  50
36.7  2.447  11
45.0  2.017  54
50.8  1.797  20
58.7  1.574  19

Atomic structure:
```
data_In3Si2
_chemical_formula_sum 'In24 Si16'
_symmetry_space_group_name_H-M 'F d d 2'
_symmetry_Int_Tables_number 43
_symmetry_space_group_name_Hall 'F 2 -2d'
_cell_length_a 13.017
_cell_length_b 22.457
_cell_length_c 3.226
_cell_angle_alpha 90.00
_cell_angle_beta 90.00
_cell_angle_gamma 90.00
loop_
_atom_site_label
_atom_site_type_symbol
_atom_site_fract_x
_atom_site_fract_y
_atom_site_fract_z
In1 In 0.000 0.000 0.000
In2 In 0.110 0.105 0.523
Si1 Si 0.041 0.219 0.286
```



Structure and calculated powder X-ray diffraction pattern of TaInSi2 (DFT lattice parameters and positions (GGA-PBE); a wavelength of 1.5418 Å).
No peak broadening, texture or thermal motion is included.

Most intense lines, 15° ≤ 2θ ≤ 90°, sorted by position:
Position (°2θ)  d (Å)  I/Imax
32.2  2.783  21
32.8  2.727  51
37.9  2.373  100
38.8  2.320  25
43.4  2.087  13
49.5  1.842  13
51.3  1.782  11
64.5  1.445  15
64.6  1.442  11
69.7  1.349  16

Atomic structure:
```
data_TaInSi2
_chemical_formula_sum 'Ta2 In2 Si4'
_symmetry_space_group_name_H-M 'C m m 2'
_symmetry_Int_Tables_number 35
_cell_length_a 3.683
_cell_length_b 4.639
_cell_length_c 8.348
_cell_angle_alpha 90.00
_cell_angle_beta 90.00
_cell_angle_gamma 90.00
loop_
_symmetry_equiv_pos_as_xyz
'x,y,z'
'-x,-y,z'
'-x,y,z'
'x,-y,z'
'x+1/2,y+1/2,z'
'-x+1/2,-y+1/2,z'
'-x+1/2,y+1/2,z'
'x+1/2,-y+1/2,z'
loop_
_atom_site_label
_atom_site_type_symbol
_atom_site_fract_x
_atom_site_fract_y
_atom_site_fract_z
Ta1 Ta 0.000 0.000 0.000
In1 In 0.000 0.500 0.716
Si1 Si 0.000 0.000 0.424
Si2 Si 0.000 0.500 0.219
```



> Which formula does entry 3 have?

In3Si2